Starting from a DFT-relaxed cell (GGA+U, Alexandria), the X-ray diffraction stick pattern of VCl5F was calculated for a wavelength of 1.5418 Å.
Intensities are scaled so that the largest is 100.

Top 10 peaks for 10° ≤ 2θ ≤ 90°, low angle first:
| h k l | 2θ/deg | I/Imax |
| --- | --- | --- |
| 1 1 0 | 14.83 | 40 |
| 0 1 1 | 16.36 | 21 |
| 1 0 1 | 17.07 | 100 |
| 0 2 0 | 19.85 | 22 |
| 2 0 0 | 22.15 | 17 |
| 0 0 2 | 26.17 | 15 |
| 2 1 1 | 27.66 | 29 |
| 2 0 2 | 34.54 | 20 |
| 0 4 0 | 40.34 | 16 |
| 1 4 1 | 44.10 | 14 |

Cell and atoms:
Cell lengths 8.027, 8.944, 6.810 Å; angles 90.00, 90.00, 90.00 degrees
Space group Imm2 (No. 44)
Inequivalent atoms, fractional coordinates:
V1 0.000 0.000 0.000 [2 per cell]
Cl1 0.000 0.000 0.682 [2 per cell]
Cl2 0.000 0.255 0.003 [4 per cell]
Cl3 0.232 0.000 0.160 [4 per cell]
F1 0.000 0.500 0.999 [2 per cell]

Starting from a DFT-relaxed cell (GGA+U, Alexandria), the X-ray diffraction stick pattern of NiP2O10 was calculated for a wavelength of 1.5418 Å.
Intensities are scaled so that the largest is 100.

Top 10 peaks for 10° ≤ 2θ ≤ 90°, low angle first:
| h k l | 2θ/deg | I/Imax |
| --- | --- | --- |
| 0 1 1 | 15.40 | 89 |
| 1 1 -1 | 19.58 | 51 |
| 1 0 -2 | 21.72 | 100 |
| 0 2 1 | 22.42 | 27 |
| 1 1 0 | 22.59 | 48 |
| 0 1 2 | 26.34 | 39 |
| 1 2 0 | 27.93 | 83 |
| 0 3 1 | 30.84 | 76 |
| 0 2 2 | 31.08 | 34 |
| 1 1 -3 | 32.43 | 32 |

Cell and atoms:
Cell lengths 5.171, 9.474, 8.659 Å; angles 90.00, 123.22, 90.00 degrees
Space group P2_1/c (No. 14)
Inequivalent atoms, fractional coordinates:
Ni1 0.000 0.000 0.000 [2 per cell]
P1 0.374 0.197 0.674 [4 per cell]
O1 0.097 0.152 0.687 [4 per cell]
O2 0.114 0.541 0.321 [4 per cell]
O3 0.308 0.656 0.661 [4 per cell]
O4 0.332 0.123 0.502 [4 per cell]
O5 0.348 0.143 0.135 [4 per cell]